The following is a computed XRD peak list of NaInSnWO6. It was derived from DFT lattice parameters and positions (GGA+U), using Cu Kα, 1.54184 Å.
Neutral-atom scattering factors, no anomalous dispersion.

Most intense lines, 10° ≤ 2θ ≤ 90°, in order of falling intensity:
2.887 Å, 2θ = 30.97°, I = 100, (2 2 0); 1.667 Å, 2θ = 55.09°, I = 40, (4 2 2); 2.042 Å, 2θ = 44.37°, I = 32, (4 0 0); 4.083 Å, 2θ = 21.77°, I = 26, (2 0 0); 1.091 Å, 2θ = 89.89°, I = 22, (6 4 2); 1.444 Å, 2θ = 64.55°, I = 19, (4 4 0); 4.715 Å, 2θ = 18.82°, I = 19, (1 1 1); 1.291 Å, 2θ = 73.32°, I = 18, (6 2 0); 2.462 Å, 2θ = 36.49°, I = 10, (3 1 1); 1.826 Å, 2θ = 49.94°, I = 10, (4 2 0)

Structural model:
abc: 8.1666 8.1666 8.1666
angles: 90.00 90.00 90.00
Space group F-43m (No. 216)
Inequivalent atoms, fractional coordinates:
Na 0.0000 0.0000 0.0000 x4
In 0.2500 0.2500 0.2500 x4
Sn 0.0000 0.0000 0.5000 x4
W 0.2500 0.2500 0.7500 x4
O 0.0122 0.2500 0.7500 x24